This entry pairs a crystal structure of ZrAu3 with its calculated powder XRD pattern. Radiation: a wavelength of 1.5418 Å. Structure: a DFT-relaxed cell (PBE, OQMD).
Kinematic intensities with the Lorentz-polarization factor, no thermal factor.

Atomic structure:
Lattice parameters (Å, degrees): 4.859 6.135 4.961 90.00 90.00 90.00
Fractional coordinates of all 8 atoms:
Zr: 0.250 0.250 0.161
Zr: 0.750 0.750 0.839
Au: 0.250 0.503 0.665
Au: 0.250 0.750 0.160
Au: 0.250 0.997 0.665
Au: 0.750 0.003 0.335
Au: 0.750 0.250 0.840
Au: 0.750 0.497 0.335

Most intense lines, 10 to 80 degrees two-theta, low angle first:
(hkl), 2θ/deg, d [Å], I_rel
0 2 1, 34.37, 2.609, 26
2 0 0, 37.00, 2.430, 40
1 2 1, 39.19, 2.299, 100
1 0 2, 40.84, 2.209, 48
2 2 1, 51.39, 1.778, 17
0 4 0, 60.35, 1.534, 10
0 2 3, 63.96, 1.456, 16
3 2 1, 68.14, 1.376, 20
3 0 2, 69.28, 1.356, 10
2 4 0, 72.95, 1.297, 11
1 4 2, 75.46, 1.260, 16
2 2 3, 76.25, 1.249, 20